Starting from a GGA-PBE-relaxed structure, the powder diffractogram of K5SnS5 was simulated for Cu Kα (λ = 1.5418 Å).
Lines closer than 0.1° are merged.

```
data_K5SnS5
_cell_length_a 14.3750
_cell_length_b 6.0865
_cell_length_c 8.5849
_cell_angle_alpha 90.00
_cell_angle_beta 109.12
_cell_angle_gamma 90.00
_space_group_name_H-M_alt 'C 1 2/m 1'
_space_group_IT_number 12
_space_group_name_Hall '-C 2y'
loop_
_atom_site_label
_atom_site_fract_x
_atom_site_fract_y
_atom_site_fract_z
K1 0.0000 0.0000 0.0000
K2 0.1718 0.5000 0.3502
K3 0.1931 0.5000 0.8052
Sn1 0.0000 0.0000 0.5000
S1 0.0000 0.5000 0.5000
S2 0.1285 0.0000 0.3578
S3 0.1387 0.0000 0.7844
```

The 12 most intense peaks (2θ = 10–90°), by angle:
hkl	Position (°2θ)	intensity
0 0 1	10.91	100
2 0 -1	14.00	29
1 1 0	15.96	74
3 1 0	24.51	34
1 1 -2	25.40	27
4 0 -2	28.21	69
2 0 2	29.11	81
0 2 0	29.35	91
5 1 -2	36.37	24
4 2 -2	41.16	48
2 2 2	41.81	55
6 2 0	50.21	31